Sm2Ta2CdRh5: computed PXRD pattern (Cu Kα, 1.54184 Å), based on a crystal structure in Alexandria, relaxed with GGA-PBE.
Intensities are scaled so that the largest is 100.

Structure:
```
Sm2Ta2CdRh5
1.0
10.601 0.000 0.000
0.000 10.601 0.000
0.000 0.000 3.470
Sm Ta Cd Rh
4 4 2 10
Direct
0.174 0.326 0.000
0.326 0.826 0.000
0.674 0.174 0.000
0.826 0.674 0.000
0.129 0.629 0.000
0.371 0.129 0.000
0.629 0.871 0.000
0.871 0.371 0.000
0.000 0.000 0.000
0.500 0.500 0.000
0.000 0.500 0.500
0.054 0.792 0.500
0.208 0.054 0.500
0.292 0.554 0.500
0.446 0.292 0.500
0.500 0.000 0.500
0.554 0.708 0.500
0.708 0.446 0.500
0.792 0.946 0.500
0.946 0.208 0.500
```

Largest 10 diffraction maxima, in order of rising 2θ, 2θ from 5° to 70°:
7.496 Å, 2θ = 11.81°, I = 12.7, (1 1 0); 3.352 Å, 2θ = 26.59°, I = 13.3, (3 1 0); 2.571 Å, 2θ = 34.90°, I = 33.4, (4 1 0); 2.546 Å, 2θ = 35.25°, I = 21.4, (2 2 1); 2.499 Å, 2θ = 35.94°, I = 26.8, (3 3 0); 2.411 Å, 2θ = 37.30°, I = 100.0, (3 1 1); 2.370 Å, 2θ = 37.96°, I = 12.7, (4 2 0); 2.243 Å, 2θ = 40.20°, I = 38.9, (3 2 1); 2.106 Å, 2θ = 42.94°, I = 27.6, (4 0 1); 1.735 Å, 2θ = 52.76°, I = 18.0, (0 0 2)